1.
Computed powder diffractogram
Compound: Nd3Tm5
Radiation: Cu Kα (λ = 1.5418 Å)
Structure: a cell relaxed with PBE
Lines closer than 0.1° are merged.

```
data_Nd3Tm5
_chemical_formula_sum 'Nd3 Tm5'
_cell_length_a 3.561
_cell_length_b 3.561
_cell_length_c 20.160
_cell_angle_alpha 90.00
_cell_angle_beta 90.00
_cell_angle_gamma 90.00
_symmetry_space_group_name_H-M 'P 1'
_symmetry_Int_Tables_number 1
loop_
_symmetry_equiv_pos_as_xyz
'x,y,z'
loop_
_atom_site_label
_atom_site_type_symbol
_atom_site_fract_x
_atom_site_fract_y
_atom_site_fract_z
Nd1 Nd 0.000 0.000 0.000
Nd2 Nd 0.500 0.500 0.374
Nd3 Nd 0.500 0.500 0.626
Tm1 Tm 0.000 0.000 0.247
Tm2 Tm 0.000 0.000 0.500
Tm3 Tm 0.000 0.000 0.753
Tm4 Tm 0.500 0.500 0.126
Tm5 Tm 0.500 0.500 0.874
```

Most intense lines, 2θ = 10–80°, in order of rising 2θ:
- 2θ 13.18, I = 1
- 2θ 30.74, I = 100
- 2θ 35.65, I = 51
- 2θ 51.30, I = 36
- 2θ 61.01, I = 43
- 2θ 64.03, I = 12
- 2θ 75.49, I = 6



2.
Computed powder diffractogram
Compound: Cs6Rb12Au
Radiation: Cu Kα (λ = 1.5418 Å)
Structure: a cell relaxed with PBE
Lines closer than 0.1° are merged.

```
data_Cs6Rb12Au
_chemical_formula_sum 'Cs6 Rb12 Au1'
_cell_length_a 12.212
_cell_length_b 12.212
_cell_length_c 12.212
_cell_angle_alpha 78.44
_cell_angle_beta 78.44
_cell_angle_gamma 78.44
_symmetry_space_group_name_H-M 'P 1'
_symmetry_Int_Tables_number 1
loop_
_symmetry_equiv_pos_as_xyz
'x,y,z'
loop_
_atom_site_label
_atom_site_type_symbol
_atom_site_fract_x
_atom_site_fract_y
_atom_site_fract_z
Cs1 Cs 0.138 0.806 0.806
Cs2 Cs 0.194 0.194 0.862
Cs3 Cs 0.194 0.862 0.194
Cs4 Cs 0.806 0.138 0.806
Cs5 Cs 0.806 0.806 0.138
Cs6 Cs 0.862 0.194 0.194
Rb1 Rb 0.142 0.142 0.468
Rb2 Rb 0.142 0.468 0.142
Rb3 Rb 0.194 0.525 0.525
Rb4 Rb 0.468 0.142 0.142
Rb5 Rb 0.475 0.475 0.806
Rb6 Rb 0.475 0.806 0.475
Rb7 Rb 0.525 0.194 0.525
Rb8 Rb 0.525 0.525 0.194
Rb9 Rb 0.532 0.858 0.858
Rb10 Rb 0.806 0.475 0.475
Rb11 Rb 0.858 0.532 0.858
Rb12 Rb 0.858 0.858 0.532
Au1 Au 0.000 0.000 0.000
```

Most intense lines, 2θ = 10–80°, in order of rising 2θ:
- 2θ 19.92, I = 14
- 2θ 21.30, I = 20
- 2θ 22.61, I = 100
- 2θ 29.32, I = 27
- 2θ 34.86, I = 26
- 2θ 38.14, I = 26
- 2θ 41.21, I = 21
- 2θ 41.95, I = 19
- 2θ 55.65, I = 17
- 2θ 59.12, I = 14



3.
Computed powder diffractogram
Compound: Er2Zn9Ga3
Radiation: Cu Kα (λ = 1.5418 Å)
Structure: a cell relaxed with PBE
Lines closer than 0.1° are merged.

```
data_Er2Zn9Ga3
_chemical_formula_sum 'Er4 Zn18 Ga6'
_cell_length_a 7.773
_cell_length_b 7.773
_cell_length_c 9.007
_cell_angle_alpha 90.00
_cell_angle_beta 90.00
_cell_angle_gamma 61.35
_symmetry_space_group_name_H-M 'P 1'
_symmetry_Int_Tables_number 1
loop_
_symmetry_equiv_pos_as_xyz
'x,y,z'
loop_
_atom_site_label
_atom_site_type_symbol
_atom_site_fract_x
_atom_site_fract_y
_atom_site_fract_z
Er1 Er 0.011 0.310 0.250
Er2 Er 0.310 0.011 0.750
Er3 Er 0.690 0.989 0.250
Er4 Er 0.989 0.690 0.750
Zn1 Zn 0.029 0.650 0.094
Zn2 Zn 0.029 0.650 0.406
Zn3 Zn 0.151 0.849 0.250
Zn4 Zn 0.333 0.667 0.564
Zn5 Zn 0.333 0.667 0.936
Zn6 Zn 0.350 0.971 0.094
Zn7 Zn 0.350 0.971 0.406
Zn8 Zn 0.359 0.447 0.250
Zn9 Zn 0.447 0.359 0.750
Zn10 Zn 0.553 0.641 0.250
Zn11 Zn 0.641 0.553 0.750
Zn12 Zn 0.650 0.029 0.594
Zn13 Zn 0.650 0.029 0.906
Zn14 Zn 0.667 0.333 0.064
Zn15 Zn 0.667 0.333 0.436
Zn16 Zn 0.849 0.151 0.750
Zn17 Zn 0.971 0.350 0.594
Zn18 Zn 0.971 0.350 0.906
Ga1 Ga 0.000 0.000 0.000
Ga2 Ga 0.000 0.000 0.500
Ga3 Ga 0.309 0.309 0.000
Ga4 Ga 0.309 0.309 0.500
Ga5 Ga 0.691 0.691 0.000
Ga6 Ga 0.691 0.691 0.500
```

Most intense lines, 2θ = 10–80°, in order of rising 2θ:
- 2θ 30.38, I = 20
- 2θ 33.38, I = 20
- 2θ 36.54, I = 22
- 2θ 37.58, I = 43
- 2θ 37.87, I = 100
- 2θ 39.64, I = 71
- 2θ 40.04, I = 18
- 2θ 40.12, I = 26
- 2θ 40.48, I = 32
- 2θ 40.88, I = 25



4.
Computed powder diffractogram
Compound: ThPdPt5
Radiation: Cu Kα (λ = 1.5418 Å)
Structure: a cell relaxed with PBE
Lines closer than 0.1° are merged.

```
data_ThPdPt5
_chemical_formula_sum 'Th4 Pd4 Pt20'
_cell_length_a 8.854
_cell_length_b 5.419
_cell_length_c 10.647
_cell_angle_alpha 90.00
_cell_angle_beta 90.00
_cell_angle_gamma 90.00
_symmetry_space_group_name_H-M 'P 1'
_symmetry_Int_Tables_number 1
loop_
_symmetry_equiv_pos_as_xyz
'x,y,z'
loop_
_atom_site_label
_atom_site_type_symbol
_atom_site_fract_x
_atom_site_fract_y
_atom_site_fract_z
Th1 Th 0.241 0.250 0.059
Th2 Th 0.259 0.750 0.559
Th3 Th 0.741 0.250 0.441
Th4 Th 0.759 0.750 0.941
Pd1 Pd 0.163 0.750 0.836
Pd2 Pd 0.337 0.250 0.336
Pd3 Pd 0.663 0.750 0.664
Pd4 Pd 0.837 0.250 0.164
Pt1 Pt 0.060 0.750 0.077
Pt2 Pt 0.063 0.006 0.303
Pt3 Pt 0.063 0.494 0.303
Pt4 Pt 0.116 0.250 0.522
Pt5 Pt 0.183 0.250 0.772
Pt6 Pt 0.317 0.750 0.272
Pt7 Pt 0.384 0.750 0.022
Pt8 Pt 0.437 0.506 0.803
Pt9 Pt 0.437 0.994 0.803
Pt10 Pt 0.440 0.250 0.577
Pt11 Pt 0.560 0.750 0.423
Pt12 Pt 0.563 0.006 0.197
Pt13 Pt 0.563 0.494 0.197
Pt14 Pt 0.616 0.250 0.978
Pt15 Pt 0.683 0.250 0.728
Pt16 Pt 0.817 0.750 0.228
Pt17 Pt 0.884 0.750 0.478
Pt18 Pt 0.937 0.506 0.697
Pt19 Pt 0.937 0.994 0.697
Pt20 Pt 0.940 0.250 0.923
```

Most intense lines, 2θ = 10–80°, in order of rising 2θ:
- 2θ 33.06, I = 27
- 2θ 35.21, I = 73
- 2θ 35.65, I = 100
- 2θ 36.44, I = 67
- 2θ 37.24, I = 39
- 2θ 38.98, I = 33
- 2θ 39.92, I = 44
- 2θ 41.68, I = 49
- 2θ 43.02, I = 28
- 2θ 43.23, I = 54



5.
Computed powder diffractogram
Compound: PmPaPO2
Radiation: Cu Kα (λ = 1.5418 Å)
Structure: a cell relaxed with PBE
Lines closer than 0.1° are merged.

```
data_PmPaPO2
_chemical_formula_sum 'Pm1 Pa1 P1 O2'
_cell_length_a 6.675
_cell_length_b 6.675
_cell_length_c 6.675
_cell_angle_alpha 147.05
_cell_angle_beta 147.05
_cell_angle_gamma 47.29
_symmetry_space_group_name_H-M 'P 1'
_symmetry_Int_Tables_number 1
loop_
_symmetry_equiv_pos_as_xyz
'x,y,z'
loop_
_atom_site_label
_atom_site_type_symbol
_atom_site_fract_x
_atom_site_fract_y
_atom_site_fract_z
Pm1 Pm 0.000 0.000 0.000
Pa1 Pa 0.718 0.718 0.000
P1 P 0.357 0.357 0.000
O1 O 0.119 0.619 0.500
O2 O 0.619 0.119 0.500
```

Most intense lines, 2θ = 10–80°, in order of rising 2θ:
- 2θ 14.49, I = 16
- 2θ 24.61, I = 68
- 2θ 29.21, I = 19
- 2θ 32.27, I = 100
- 2θ 33.47, I = 47
- 2θ 45.01, I = 37
- 2θ 48.06, I = 24
- 2θ 54.73, I = 16
- 2θ 58.15, I = 17
- 2θ 59.08, I = 36



6.
Computed powder diffractogram
Compound: Fe4Co16Ni3
Radiation: Cu Kα (λ = 1.5418 Å)
Structure: a cell relaxed with PBE
Lines closer than 0.1° are merged.

```
data_Fe4Co16Ni3
_chemical_formula_sum 'Fe4 Co16 Ni3'
_cell_length_a 4.846
_cell_length_b 7.340
_cell_length_c 7.525
_cell_angle_alpha 90.00
_cell_angle_beta 90.00
_cell_angle_gamma 90.00
_symmetry_space_group_name_H-M 'P 1'
_symmetry_Int_Tables_number 1
loop_
_symmetry_equiv_pos_as_xyz
'x,y,z'
loop_
_atom_site_label
_atom_site_type_symbol
_atom_site_fract_x
_atom_site_fract_y
_atom_site_fract_z
Fe1 Fe 0.000 0.168 0.000
Fe2 Fe 0.000 0.832 0.000
Fe3 Fe 0.500 0.171 0.500
Fe4 Fe 0.500 0.829 0.500
Co1 Co 0.000 0.168 0.500
Co2 Co 0.000 0.832 0.500
Co3 Co 0.239 0.337 0.264
Co4 Co 0.239 0.337 0.736
Co5 Co 0.239 0.663 0.264
Co6 Co 0.239 0.663 0.736
Co7 Co 0.245 0.000 0.264
Co8 Co 0.245 0.000 0.736
Co9 Co 0.500 0.339 0.000
Co10 Co 0.500 0.661 0.000
Co11 Co 0.755 0.000 0.264
Co12 Co 0.755 0.000 0.736
Co13 Co 0.761 0.337 0.264
Co14 Co 0.761 0.337 0.736
Co15 Co 0.761 0.663 0.264
Co16 Co 0.761 0.663 0.736
Ni1 Ni 0.000 0.500 0.000
Ni2 Ni 0.500 0.000 0.000
Ni3 Ni 0.500 0.500 0.500
```

Most intense lines, 2θ = 10–80°, in order of rising 2θ:
- 2θ 36.73, I = 9
- 2θ 43.13, I = 21
- 2θ 44.15, I = 55
- 2θ 44.47, I = 100
- 2θ 48.18, I = 10
- 2θ 48.39, I = 37
- 2θ 53.20, I = 31
- 2θ 55.81, I = 9
- 2θ 74.75, I = 19
- 2θ 78.13, I = 8



7.
Computed powder diffractogram
Compound: Sm3GaAg2
Radiation: Cu Kα (λ = 1.5418 Å)
Structure: a cell relaxed with PBE
Lines closer than 0.1° are merged.

```
data_Sm3GaAg2
_chemical_formula_sum 'Sm3 Ga1 Ag2'
_cell_length_a 5.208
_cell_length_b 5.208
_cell_length_c 6.446
_cell_angle_alpha 90.00
_cell_angle_beta 90.00
_cell_angle_gamma 120.00
_symmetry_space_group_name_H-M 'P 1'
_symmetry_Int_Tables_number 1
loop_
_symmetry_equiv_pos_as_xyz
'x,y,z'
loop_
_atom_site_label
_atom_site_type_symbol
_atom_site_fract_x
_atom_site_fract_y
_atom_site_fract_z
Sm1 Sm 0.000 0.000 0.000
Sm2 Sm 0.333 0.667 0.665
Sm3 Sm 0.667 0.333 0.335
Ga1 Ga 0.000 0.000 0.500
Ag1 Ag 0.333 0.667 0.175
Ag2 Ag 0.667 0.333 0.825
```

Most intense lines, 2θ = 10–80°, in order of rising 2θ:
- 2θ 24.08, I = 11
- 2θ 34.20, I = 100
- 2θ 34.44, I = 98
- 2θ 42.47, I = 3
- 2θ 49.32, I = 35
- 2θ 61.07, I = 18
- 2θ 61.54, I = 36
- 2θ 61.70, I = 18
- 2θ 72.03, I = 11
- 2θ 72.61, I = 11



8.
Computed powder diffractogram
Compound: Co3H
Radiation: Cu Kα (λ = 1.5418 Å)
Structure: a cell relaxed with PBE
Lines closer than 0.1° are merged.

```
data_Co3H
_chemical_formula_sum 'Co3 H1'
_cell_length_a 6.339
_cell_length_b 6.339
_cell_length_c 6.339
_cell_angle_alpha 23.13
_cell_angle_beta 23.13
_cell_angle_gamma 23.13
_symmetry_space_group_name_H-M 'P 1'
_symmetry_Int_Tables_number 1
loop_
_symmetry_equiv_pos_as_xyz
'x,y,z'
loop_
_atom_site_label
_atom_site_type_symbol
_atom_site_fract_x
_atom_site_fract_y
_atom_site_fract_z
Co1 Co 0.000 0.000 0.000
Co2 Co 0.225 0.225 0.225
Co3 Co 0.775 0.775 0.775
H1 H 0.500 0.500 0.500
```

Most intense lines, 2θ = 10–80°, in order of rising 2θ:
- 2θ 41.30, I = 32
- 2θ 42.20, I = 14
- 2θ 44.05, I = 46
- 2θ 45.64, I = 100
- 2θ 48.10, I = 69
- 2θ 54.23, I = 5
- 2θ 57.83, I = 18
- 2θ 65.96, I = 4
- 2θ 70.46, I = 3
- 2θ 74.69, I = 26



Number 7 is which compound?
Sm3GaAg2